(1)
# Ta5Mo3
Calculated XRD peak list, Cu Kα. Input: a cell relaxed with GGA-PBE.
Neutral-atom scattering factors, no anomalous dispersion.

a b c (Å): 4.5988 4.5988 13.0004
angles (deg): 90.00 90.00 90.00
Space group I4/mmm (No. 139)
Asymmetric unit:
Ta 0.0000 0.0000 0.0000
Ta 0.0000 0.5000 0.1274
Mo 0.0000 0.0000 0.2481
Mo 0.0000 0.0000 0.5000

Top 6 peaks for 2θ = 10–90°, in order of rising 2θ:
d/Å  I (rel.)  index
3.251  5  1 1 0
2.299  100  2 0 0
1.626  17  2 2 0
1.454  2  3 1 0
1.327  35  3 1 4
1.150  11  4 0 0

(2)
# Cs2K4SnSb2
Calculated XRD peak list, Cu Kα. Input: a cell relaxed with GGA-PBE.
Neutral-atom scattering factors, no anomalous dispersion.

a b c (Å): 5.9031 9.0405 15.6729
angles (deg): 90.00 90.00 90.00
Space group Immm (No. 71)
Asymmetric unit:
Cs 0.0000 0.0000 0.1357
K 0.0000 0.1993 0.3641
Sn 0.0000 0.5000 0.0000
Sb 0.0000 0.5000 0.2054

Top 6 peaks for 2θ = 10–90°, in order of rising 2θ:
d/Å  I (rel.)  index
5.524  45  1 0 1
4.521  61  0 2 0
3.498  100  1 2 1
3.070  99  1 1 4
2.960  84  0 1 5
2.952  50  2 0 0

(3)
# Hf2SiHIr6
Calculated XRD peak list, Cu Kα. Input: a cell relaxed with GGA-PBE.
Neutral-atom scattering factors, no anomalous dispersion.

a b c (Å): 5.9333 5.9531 8.4013
angles (deg): 90.00 90.00 90.00
Space group Immm (No. 71)
Asymmetric unit:
Hf 0.0000 0.0000 0.2504
Si 0.0000 0.5000 0.0000
H 0.0000 0.5000 0.5000
Ir 0.0000 0.5000 0.2665
Ir 0.2342 0.2670 0.5000

Top 6 peaks for 2θ = 10–90°, in order of rising 2θ:
d/Å  I (rel.)  index
2.426  100  2 0 2
2.101  53  2 2 0
1.485  23  2 2 4
1.483  6  4 0 0
1.268  18  0 2 6
1.266  18  4 2 2

(4)
# CaMo2N
Calculated XRD peak list, Cu Kα. Input: a cell relaxed with GGA-PBE.
Neutral-atom scattering factors, no anomalous dispersion.

a b c (Å): 8.8224 8.8224 8.8224
angles (deg): 90.00 90.00 90.00
Space group Fd-3m (No. 227, origin choice 2)
Asymmetric unit:
Ca 0.1250 0.1250 0.1250
Mo 0.0000 0.0000 0.5000
N 0.1250 0.1250 0.6250

Top 6 peaks for 2θ = 10–90°, in order of rising 2θ:
d/Å  I (rel.)  index
5.094  76  1 1 1
2.660  100  3 1 1
2.547  81  2 2 2
1.698  33  5 1 1
1.560  41  4 4 0
1.330  30  6 2 2